Record 1
For Er3Tl2Ga2, a DFT-relaxed cell (GGA-PBE, Alexandria) gives the calculated X-ray diffraction stick pattern in this record (a wavelength of 1.5418 Å).
Intensities are scaled so that the largest is 1000.

Most intense lines, 5° ≤ 2θ ≤ 70°, in order of falling intensity:
| 2θ (°) | I/Imax | index |
| --- | --- | --- |
| 32.87 | 1000 | 1 1 1 |
| 34.84 | 837 | 0 6 1 |
| 35.55 | 565 | 1 7 0 |
| 56.30 | 385 | 2 6 1 |
| 29.27 | 382 | 1 5 0 |
| 42.77 | 263 | 2 0 0 |
| 63.32 | 213 | 1 7 2 |
| 64.60 | 198 | 1 13 1 |

Atomic structure:
```
data_Er3Tl2Ga2
_chemical_formula_sum 'Er6 Tl4 Ga4'
_cell_length_a 4.2283
_cell_length_b 22.0391
_cell_length_c 3.6111
_cell_angle_alpha 90.00
_cell_angle_beta 90.00
_cell_angle_gamma 90.00
_space_group_name_H-M_alt 'C m m m'
_space_group_IT_number 65
_space_group_name_Hall '-C 2 2'
loop_
_atom_site_label
_atom_site_type_symbol
_atom_site_fract_x
_atom_site_fract_y
_atom_site_fract_z
Er1 Er 0.0000 0.0000 0.0000
Er2 Er 0.0000 0.1677 0.0000
Tl1 Tl 0.0000 0.4204 0.5000
Ga1 Ga 0.0000 0.2827 0.5000
```

=====

Record 2
For Er4Tl2Ga, a DFT-relaxed cell (GGA-PBE, Alexandria) gives the calculated X-ray diffraction stick pattern in this record (a wavelength of 1.5418 Å).
Intensities are scaled so that the largest is 1000.

Most intense lines, 5° ≤ 2θ ≤ 70°, in order of falling intensity:
| 2θ (°) | I/Imax | index |
| --- | --- | --- |
| 34.69 | 1000 | 1 1 0 |
| 62.17 | 267 | 1 2 8 |
| 21.04 | 189 | 0 0 6 |
| 49.87 | 178 | 2 0 8 |
| 40.93 | 101 | 1 1 6 |
| 62.23 | 95 | 3 0 0 |
| 24.34 | 37 | 1 0 4 |
| 66.44 | 23 | 3 0 6 |

Atomic structure:
```
data_Er4Tl2Ga
_chemical_formula_sum 'Er12 Tl6 Ga3'
_cell_length_a 5.1681
_cell_length_b 5.1681
_cell_length_c 25.3700
_cell_angle_alpha 90.00
_cell_angle_beta 90.00
_cell_angle_gamma 120.00
_space_group_name_H-M_alt 'R -3 m'
_space_group_IT_number 166
_space_group_name_Hall '-R 3 2"'
loop_
_atom_site_label
_atom_site_type_symbol
_atom_site_fract_x
_atom_site_fract_y
_atom_site_fract_z
Er1 Er 0.0000 0.0000 0.1223
Er2 Er 0.0000 0.0000 0.3742
Tl1 Tl 0.0000 0.0000 0.2443
Ga1 Ga 0.0000 0.0000 0.0000
```

=====

Record 3
For ErTm2Ga3, a DFT-relaxed cell (GGA-PBE, Alexandria) gives the calculated X-ray diffraction stick pattern in this record (a wavelength of 1.5418 Å).
Intensities are scaled so that the largest is 1000.

Most intense lines, 5° ≤ 2θ ≤ 70°, in order of falling intensity:
| 2θ (°) | I/Imax | index |
| --- | --- | --- |
| 35.99 | 1000 | 1 1 0 |
| 64.69 | 359 | 3 0 0 |
| 25.23 | 187 | 0 1 2 |
| 51.81 | 176 | 0 2 4 |
| 58.48 | 78 | 1 2 2 |
| 44.46 | 57 | 2 0 2 |

Atomic structure:
```
data_ErTm2Ga3
_chemical_formula_sum 'Er2 Tm4 Ga6'
_cell_length_a 4.9893
_cell_length_b 4.9893
_cell_length_c 12.2353
_cell_angle_alpha 90.00
_cell_angle_beta 90.00
_cell_angle_gamma 120.00
_space_group_name_H-M_alt 'P -3 m 1'
_space_group_IT_number 164
_space_group_name_Hall '-P 3 2"'
loop_
_atom_site_label
_atom_site_type_symbol
_atom_site_fract_x
_atom_site_fract_y
_atom_site_fract_z
Er1 Er 0.3333 0.6667 0.1667
Tm1 Tm 0.0000 0.0000 0.0000
Tm2 Tm 0.0000 0.0000 0.5000
Tm3 Tm 0.3333 0.6667 0.6661
Ga1 Ga 0.0000 0.0000 0.2505
Ga2 Ga 0.3333 0.6667 0.4170
Ga3 Ga 0.3333 0.6667 0.9164
```